Starting from a crystal structure in the Materials Project, relaxed with GGA+U, the powder diffractogram of Sr2LiFeO3F was simulated for Cu Ka.
Lines closer than 0.1° are merged.

Cell and atoms:
```
data_Sr2LiFeO3F
_chemical_formula_sum 'Sr2 Li1 Fe1 O3 F1'
_symmetry_space_group_name_H-M 'P 1'
_symmetry_Int_Tables_number 1
_cell_length_a 4.011
_cell_length_b 4.094
_cell_length_c 6.929
_cell_angle_alpha 90.21
_cell_angle_beta 90.51
_cell_angle_gamma 90.19
loop_
_symmetry_equiv_pos_as_xyz
'x,y,z'
loop_
_atom_site_label
_atom_site_fract_x
_atom_site_fract_y
_atom_site_fract_z
_atom_site_occupancy
Sr1 0.000 0.000 0.000 1
Sr2 0.012 0.004 0.513 1
Li1 0.501 0.502 0.760 1
Fe1 0.508 0.501 0.254 1
O1 0.008 0.501 0.227 1
O2 0.497 0.005 0.781 1
O3 0.509 0.001 0.284 1
F1 0.997 0.505 0.720 1
```

Top 10 peaks for 2θ = 15–90°, by angle:
| index | d [Å] | 2θ (°) | I (rel.) |
| --- | --- | --- | --- |
| 0 1 0 | 4.094 | 21.7 | 31 |
| 1 0 0 | 4.011 | 22.2 | 32 |
| 1 -1 0 | 2.870 | 31.2 | 31 |
| 0 1 -2 | 2.650 | 33.8 | 58 |
| 0 1 2 | 2.636 | 34.0 | 100 |
| 1 0 2 | 2.610 | 34.4 | 47 |
| 1 1 -2 | 2.215 | 40.7 | 31 |
| 0 2 0 | 2.047 | 44.2 | 37 |
| 2 0 0 | 2.006 | 45.2 | 36 |
| 1 -2 2 | 1.616 | 57.0 | 31 |

Starting from a crystal structure in the Materials Project, relaxed with GGA+U, the powder diffractogram of TiNiO6F6 was simulated for Cu Ka.
Lines closer than 0.1° are merged.

Cell and atoms:
```
data_TiNiO6F6
_chemical_formula_sum 'Ti3 Ni3 O18 F18'
_symmetry_space_group_name_H-M 'R -3'
_symmetry_Int_Tables_number 148
_symmetry_space_group_name_Hall '-R 3'
_cell_length_a 8.7493
_cell_length_b 8.7493
_cell_length_c 8.8416
_cell_angle_alpha 90.00
_cell_angle_beta 90.00
_cell_angle_gamma 120.00
loop_
_atom_site_label
_atom_site_fract_x
_atom_site_fract_y
_atom_site_fract_z
_atom_site_occupancy
Ti1 0.0000 0.0000 0.0000 1
Ni1 0.0000 0.0000 0.5000 1
O1 0.0017 0.1758 0.3829 1
F1 0.0762 0.1998 0.1278 1
```

Top 10 peaks for 2θ = 15–90°, by angle:
| index | d [Å] | 2θ (°) | I (rel.) |
| --- | --- | --- | --- |
| 1 1 0 | 4.375 | 20.3 | 100 |
| 0 1 2 | 3.818 | 23.3 | 58 |
| 2 1 1 | 2.725 | 32.9 | 20 |
| 1 2 2 | 2.404 | 37.4 | 50 |
| 0 2 4 | 1.909 | 47.6 | 7 |
| 2 1 4 | 1.750 | 52.3 | 25 |
| 0 4 2 | 1.741 | 52.6 | 12 |
| 1 4 0 | 1.653 | 55.6 | 11 |
| 2 3 2 | 1.618 | 56.9 | 9 |
| 4 -3 4 | 1.523 | 60.8 | 12 |

Starting from a crystal structure in the Materials Project, relaxed with GGA+U, the powder diffractogram of LiV2F7 was simulated for Cu Ka.
Lines closer than 0.1° are merged.

Cell and atoms:
```
data_LiV2F7
_chemical_formula_sum 'Li2 V4 F14'
_symmetry_space_group_name_H-M 'P -1'
_symmetry_Int_Tables_number 2
_cell_length_a 5.434
_cell_length_b 6.926
_cell_length_c 8.525
_cell_angle_alpha 70.63
_cell_angle_beta 76.86
_cell_angle_gamma 86.10
loop_
_symmetry_equiv_pos_as_xyz
'x,y,z'
'-x,-y,-z'
loop_
_atom_site_label
_atom_site_fract_x
_atom_site_fract_y
_atom_site_fract_z
_atom_site_occupancy
Li1 0.130 0.022 0.257 1
V1 0.182 0.485 0.325 1
V2 0.293 0.282 0.821 1
F1 0.065 0.613 0.118 1
F2 0.084 0.213 0.379 1
F3 0.167 0.053 0.792 1
F4 0.192 0.438 0.574 1
F5 0.331 0.763 0.288 1
F6 0.334 0.180 0.044 1
F7 0.455 0.553 0.763 1
```

Top 10 peaks for 2θ = 15–90°, by angle:
| index | d [Å] | 2θ (°) | I (rel.) |
| --- | --- | --- | --- |
| 1 -1 0 | 4.128 | 21.5 | 41 |
| 1 1 0 | 4.096 | 21.7 | 66 |
| 0 1 2 | 3.987 | 22.3 | 74 |
| 0 0 2 | 3.925 | 22.7 | 85 |
| 1 -1 1 | 3.601 | 24.7 | 40 |
| 1 0 2 | 3.543 | 25.1 | 54 |
| 1 -1 2 | 2.794 | 32.0 | 30 |
| -2 1 1 | 2.295 | 39.3 | 100 |
| 1 3 1 | 2.154 | 41.9 | 80 |
| 1 0 4 | 1.986 | 45.7 | 64 |

Starting from a crystal structure in the Materials Project, relaxed with GGA+U, the powder diffractogram of CoH4SeO5 was simulated for Cu Ka.
Lines closer than 0.1° are merged.

Cell and atoms:
```
data_CoH4SeO5
_chemical_formula_sum 'Co4 H16 Se4 O20'
_symmetry_space_group_name_H-M 'P 1 21/c 1'
_symmetry_Int_Tables_number 14
_cell_length_a 6.580
_cell_length_b 10.120
_cell_length_c 8.875
_cell_angle_alpha 90.00
_cell_angle_beta 125.11
_cell_angle_gamma 90.00
loop_
_symmetry_equiv_pos_as_xyz
'x,y,z'
'-x,-y,-z'
'-x,y+1/2,-z+1/2'
'x,-y+1/2,z+1/2'
loop_
_atom_site_label
_atom_site_fract_x
_atom_site_fract_y
_atom_site_fract_z
_atom_site_occupancy
Co1 0.161 0.126 0.017 1
H1 0.144 0.611 0.875 1
H2 0.257 0.029 0.395 1
H3 0.394 0.213 0.369 1
H4 0.458 0.584 0.121 1
Se1 0.237 0.621 0.321 1
O1 0.068 0.735 0.728 1
O2 0.144 0.572 0.464 1
O3 0.204 0.530 0.955 1
O4 0.370 0.127 0.299 1
O5 0.462 0.175 0.011 1
```

Top 10 peaks for 2θ = 15–90°, by angle:
| index | d [Å] | 2θ (°) | I (rel.) |
| --- | --- | --- | --- |
| 0 1 1 | 5.899 | 15.0 | 100 |
| 1 0 -2 | 4.405 | 20.2 | 17 |
| 0 2 1 | 4.151 | 21.4 | 87 |
| 1 1 -2 | 4.039 | 22.0 | 26 |
| 1 1 1 | 3.284 | 27.1 | 20 |
| 2 1 -2 | 3.072 | 29.1 | 47 |
| 0 3 1 | 3.059 | 29.2 | 36 |
| 2 2 -1 | 2.700 | 33.2 | 41 |
| 0 4 0 | 2.531 | 35.5 | 61 |
| 1 2 3 | 1.734 | 52.8 | 18 |

Starting from a crystal structure in the Materials Project, relaxed with GGA+U, the powder diffractogram of CsMoP2HO9 was simulated for Cu Ka.
Lines closer than 0.1° are merged.

Cell and atoms:
```
data_CsMoP2HO9
_chemical_formula_sum 'Cs4 Mo4 P8 H4 O36'
_symmetry_space_group_name_H-M 'P 1 21/c 1'
_symmetry_Int_Tables_number 14
_cell_length_a 6.379
_cell_length_b 14.662
_cell_length_c 10.128
_cell_angle_alpha 90.00
_cell_angle_beta 100.21
_cell_angle_gamma 90.00
loop_
_symmetry_equiv_pos_as_xyz
'x,y,z'
'-x,-y,-z'
'-x,y+1/2,-z+1/2'
'x,-y+1/2,z+1/2'
loop_
_atom_site_label
_atom_site_fract_x
_atom_site_fract_y
_atom_site_fract_z
_atom_site_occupancy
Cs1 0.186 0.171 0.333 1
Mo1 0.296 0.038 0.723 1
P1 0.191 0.592 0.717 1
P2 0.391 0.627 0.485 1
H1 0.313 0.734 0.901 1
O1 0.008 0.032 0.780 1
O2 0.188 0.684 0.779 1
O3 0.190 0.601 0.557 1
O4 0.238 0.532 0.085 1
O5 0.261 0.147 0.657 1
O6 0.341 0.588 0.345 1
O7 0.385 0.530 0.773 1
O8 0.398 0.733 0.483 1
O9 0.405 0.095 0.925 1
```

Top 10 peaks for 2θ = 15–90°, by angle:
| index | d [Å] | 2θ (°) | I (rel.) |
| --- | --- | --- | --- |
| 0 0 2 | 4.984 | 17.8 | 65 |
| 1 2 -1 | 4.546 | 19.5 | 59 |
| 1 3 -1 | 3.736 | 23.8 | 32 |
| 1 2 -2 | 3.703 | 24.0 | 47 |
| 1 1 2 | 3.500 | 25.4 | 31 |
| 1 3 1 | 3.472 | 25.7 | 100 |
| 0 4 1 | 3.440 | 25.9 | 70 |
| 2 0 0 | 3.139 | 28.4 | 37 |
| 2 1 -1 | 3.088 | 28.9 | 39 |
| 1 7 0 | 1.987 | 45.7 | 34 |